Simulated PXRD pattern
Compound: Dy4Tl2Te
Radiation: λ = 1.5418 Å (Cu Kα)
Structure: a DFT-relaxed cell (PBE, Alexandria)

Cell and atoms:
Unit cell a=6.6467 b=6.5637 c=10.0811 alpha=90.00 beta=106.57 gamma=90.00
Atoms (fractional coordinates):
Dy 0.0241 0.0007 0.2702
Dy 0.0241 0.4993 0.2702
Dy 0.4067 0.2500 0.5523
Dy 0.4706 0.2500 0.1614
Dy 0.5294 0.7500 0.8386
Dy 0.5933 0.7500 0.4477
Dy 0.9759 0.5007 0.7298
Dy 0.9759 0.9993 0.7298
Tl 0.1045 0.7500 0.0130
Tl 0.1934 0.7500 0.5454
Tl 0.8066 0.2500 0.4546
Tl 0.8955 0.2500 0.9870
Te 0.3849 0.2500 0.8481
Te 0.6151 0.7500 0.1519

The 12 most intense peaks (2θ from 10° to 90°), by intensity:
31.2°, d = 2.866 Å, I 100; 33.0°, d = 2.715 Å, I 97; 33.8°, d = 2.656 Å, I 81; 32.0°, d = 2.800 Å, I 75; 35.8°, d = 2.508 Å, I 72; 27.2°, d = 3.280 Å, I 61; 34.6°, d = 2.592 Å, I 57; 30.6°, d = 2.917 Å, I 56; 29.5°, d = 3.026 Å, I 54; 38.0°, d = 2.366 Å, I 34; 56.0°, d = 1.641 Å, I 31; 28.0°, d = 3.185 Å, I 29

Simulated PXRD pattern
Compound: Ho13Al2
Radiation: λ = 1.5418 Å (Cu Kα)
Structure: a DFT-relaxed cell (PBE, Alexandria)

Cell and atoms:
Unit cell a=6.6090 b=8.4043 c=9.0274 alpha=63.57 beta=89.17 gamma=80.09
Atoms (fractional coordinates):
Ho 0.0000 0.0000 0.0000
Ho 0.0341 0.5000 0.7050
Ho 0.2325 0.0123 0.5693
Ho 0.2513 0.2072 0.1525
Ho 0.2796 0.6514 0.9576
Ho 0.4457 0.1705 0.8150
Ho 0.4724 0.3991 0.3785
Ho 0.5276 0.6009 0.6215
Ho 0.5543 0.8295 0.1850
Ho 0.7204 0.3486 0.0424
Ho 0.7487 0.7928 0.8475
Ho 0.7675 0.9877 0.4307
Ho 0.9659 0.5000 0.2950
Al 0.1617 0.7783 0.3629
Al 0.8383 0.2217 0.6371

The 12 most intense peaks (2θ from 10° to 90°), by intensity:
31.1°, d = 2.878 Å, I 100; 33.0°, d = 2.716 Å, I 94; 31.4°, d = 2.847 Å, I 68; 32.0°, d = 2.796 Å, I 60; 29.8°, d = 2.995 Å, I 35; 36.0°, d = 2.496 Å, I 35; 29.9°, d = 2.985 Å, I 33; 34.6°, d = 2.589 Å, I 31; 33.3°, d = 2.692 Å, I 29; 30.8°, d = 2.903 Å, I 26; 28.7°, d = 3.110 Å, I 25; 61.8°, d = 1.500 Å, I 19

Simulated PXRD pattern
Compound: Ba6MgIn3
Radiation: λ = 1.5418 Å (Cu Kα)
Structure: a DFT-relaxed cell (PBE, Alexandria)

Cell and atoms:
Unit cell a=10.7482 b=6.0676 c=13.7158 alpha=90.00 beta=108.78 gamma=90.00
Atoms (fractional coordinates):
Ba 0.0281 0.2500 0.4167
Ba 0.1492 0.7500 0.1714
Ba 0.2363 0.2500 0.9966
Ba 0.3263 0.7500 0.8059
Ba 0.3665 0.2500 0.3441
Ba 0.3896 0.2500 0.6270
Ba 0.6104 0.7500 0.3730
Ba 0.6335 0.7500 0.6559
Ba 0.6737 0.2500 0.1941
Ba 0.7637 0.7500 0.0034
Ba 0.8508 0.2500 0.8286
Ba 0.9719 0.7500 0.5833
Mg 0.4610 0.7500 0.0929
Mg 0.5390 0.2500 0.9071
In 0.0303 0.7500 0.8698
In 0.1092 0.2500 0.7196
In 0.2747 0.7500 0.4743
In 0.7253 0.2500 0.5257
In 0.8908 0.7500 0.2804
In 0.9697 0.2500 0.1302

The 12 most intense peaks (2θ from 10° to 90°), by intensity:
28.9°, d = 3.085 Å, I 100; 29.4°, d = 3.034 Å, I 36; 27.4°, d = 3.252 Å, I 19; 31.2°, d = 2.867 Å, I 16; 40.7°, d = 2.218 Å, I 13; 51.9°, d = 1.762 Å, I 12; 51.9°, d = 1.760 Å, I 9; 52.2°, d = 1.752 Å, I 8; 26.7°, d = 3.335 Å, I 8; 24.9°, d = 3.582 Å, I 8; 42.1°, d = 2.146 Å, I 7; 56.3°, d = 1.633 Å, I 7

Simulated PXRD pattern
Compound: Ac4BRh4
Radiation: λ = 1.5418 Å (Cu Kα)
Structure: a DFT-relaxed cell (PBE, Alexandria)

Cell and atoms:
Unit cell a=8.5479 b=8.5479 c=6.2585 alpha=90.00 beta=90.00 gamma=90.00
Atoms (fractional coordinates):
Ac 0.0159 0.2500 0.0664
Ac 0.2500 0.0159 0.5664
Ac 0.2500 0.4841 0.5664
Ac 0.4841 0.2500 0.0664
Ac 0.5159 0.7500 0.9336
Ac 0.7500 0.5159 0.4336
Ac 0.7500 0.9841 0.4336
Ac 0.9841 0.7500 0.9336
B 0.2500 0.7500 0.2500
B 0.7500 0.2500 0.7500
Rh 0.0372 0.7500 0.4221
Rh 0.2500 0.5372 0.0779
Rh 0.2500 0.9628 0.0779
Rh 0.4628 0.7500 0.4221
Rh 0.5372 0.2500 0.5779
Rh 0.7500 0.0372 0.9221
Rh 0.7500 0.4628 0.9221
Rh 0.9628 0.2500 0.5779

The 12 most intense peaks (2θ from 10° to 90°), by intensity:
29.6°, d = 3.022 Å, I 100; 25.2°, d = 3.529 Å, I 37; 42.3°, d = 2.137 Å, I 36; 37.1°, d = 2.421 Å, I 34; 41.5°, d = 2.174 Å, I 34; 30.4°, d = 2.939 Å, I 30; 28.5°, d = 3.129 Å, I 24; 49.9°, d = 1.829 Å, I 22; 36.2°, d = 2.482 Å, I 16; 51.8°, d = 1.765 Å, I 16; 48.2°, d = 1.890 Å, I 15; 42.9°, d = 2.107 Å, I 13

Simulated PXRD pattern
Compound: AcLaNdY
Radiation: λ = 1.5418 Å (Cu Kα)
Structure: a DFT-relaxed cell (PBE, Alexandria)

Cell and atoms:
Unit cell a=5.8737 b=5.8737 c=5.8737 alpha=116.83 beta=116.83 gamma=95.59
Atoms (fractional coordinates):
Ac 0.0000 0.0000 0.0000
La 0.5000 0.5000 0.0000
Nd 0.2500 0.7500 0.5000
Y 0.7500 0.2500 0.5000

The 12 most intense peaks (2θ from 10° to 90°), by intensity:
30.6°, d = 2.923 Å, I 100; 29.0°, d = 3.077 Å, I 57; 52.4°, d = 1.745 Å, I 44; 41.5°, d = 2.175 Å, I 22; 55.3°, d = 1.661 Å, I 19; 63.7°, d = 1.461 Å, I 12; 83.8°, d = 1.154 Å, I 12; 86.2°, d = 1.129 Å, I 11; 68.2°, d = 1.376 Å, I 10; 69.0°, d = 1.361 Å, I 10; 18.3°, d = 4.853 Å, I 9; 46.0°, d = 1.973 Å, I 8